Calculated powder XRD pattern of ReSe2Cl12 for copper Kα, from the GGA-PBE geometry in the Materials Project.
Intensities are scaled so that the largest is 100.

Structure:
```
30
Lattice="0.000 6.486 10.947 6.039 0.000 10.947 6.039 6.486 0.000" Properties=species:S:1:pos:R:3 pbc="T T T"
Re 0.000 0.000 0.000
Re 3.020 3.243 5.474
Se 6.138 3.591 9.142
Se 8.961 6.834 14.616
Se 5.941 9.381 9.142
Se 3.118 6.138 14.616
Cl 1.412 0.978 1.631
Cl 7.430 4.370 7.515
Cl 4.627 5.508 1.631
Cl 4.432 2.265 7.104
Cl 7.724 7.774 5.444
Cl 7.401 4.292 10.800
Cl 4.704 1.955 10.918
Cl 4.355 5.198 5.444
Cl 7.719 4.235 14.722
Cl 7.457 7.790 9.256
Cl 4.622 5.183 9.256
Cl 10.476 8.426 14.729
Cl 1.607 4.221 7.104
Cl 7.668 7.613 12.989
Cl 4.648 8.602 7.515
Cl 4.411 5.359 12.989
Cl 7.697 7.535 16.274
Cl 7.375 11.017 10.918
Cl 4.678 8.680 10.800
Cl 4.382 5.437 16.274
Cl 7.379 7.478 20.196
Cl 7.642 11.033 14.729
Cl 10.739 11.980 20.196
Cl 4.360 8.737 14.722
```

Main lines, low angle first (2θ from 15° to 90°):
| d (Å) | Position (°2θ) | I (rel.) |
| --- | --- | --- |
| 5.628 | 15.7 | 48 |
| 5.580 | 15.9 | 35 |
| 5.288 | 16.8 | 100 |
| 4.002 | 22.2 | 39 |
| 3.439 | 25.9 | 45 |
| 2.814 | 31.8 | 46 |
| 2.210 | 40.8 | 25 |
| 2.190 | 41.2 | 50 |

---

Calculated powder XRD pattern of Pr2EuSe4 for copper Kα, from the GGA-PBE geometry in the Materials Project.
Intensities are scaled so that the largest is 100.

Structure:
```
14
Lattice="-4.529 4.529 4.530 4.529 -4.529 4.530 4.529 4.529 -4.530" Properties=species:S:1:pos:R:3 pbc="T T T"
Pr 6.794 1.145 -1.132
Pr 1.145 2.265 1.132
Pr -2.265 3.384 3.397
Pr 3.384 2.265 5.662
Eu 4.529 0.000 2.265
Eu 0.000 0.000 4.530
Se 1.577 -0.686 1.773
Se 3.843 1.577 -0.492
Se 2.952 5.215 -2.757
Se 2.952 -0.686 5.022
Se 1.577 5.215 0.492
Se 3.843 2.952 2.757
Se 0.686 2.952 4.038
Se 0.686 1.577 7.287
```

Main lines, low angle first (2θ from 15° to 90°):
| d (Å) | Position (°2θ) | I (rel.) |
| --- | --- | --- |
| 3.698 | 24.1 | 27 |
| 2.865 | 31.2 | 100 |
| 2.421 | 37.1 | 66 |
| 2.026 | 44.7 | 24 |
| 1.931 | 47.1 | 16 |
| 1.777 | 51.4 | 19 |
| 1.470 | 63.3 | 31 |
| 1.233 | 77.4 | 20 |

---

Calculated powder XRD pattern of BaSrEuSbO6 for copper Kα, from the GGA-PBE geometry in the Materials Project.
Intensities are scaled so that the largest is 100.

Structure:
```
10
Lattice="0.000 4.282 4.282 4.282 0.000 4.282 4.282 4.282 0.000" Properties=species:S:1:pos:R:3 pbc="T T T"
Ba 0.000 0.000 0.000
Sr 4.282 4.282 4.282
Eu 2.141 2.141 2.141
Sb 6.423 6.423 6.423
O 6.423 6.423 4.412
O 6.423 4.412 6.423
O 8.433 6.423 6.423
O 4.412 6.423 6.423
O 6.423 8.433 6.423
O 6.423 6.423 8.433
```

Main lines, low angle first (2θ from 15° to 90°):
| d (Å) | Position (°2θ) | I (rel.) |
| --- | --- | --- |
| 4.282 | 20.7 | 5 |
| 3.028 | 29.5 | 100 |
| 2.141 | 42.2 | 30 |
| 1.748 | 52.3 | 40 |
| 1.514 | 61.2 | 19 |
| 1.354 | 69.4 | 18 |
| 1.236 | 77.2 | 6 |
| 1.144 | 84.7 | 22 |

---

Calculated powder XRD pattern of K2CuSbI6 for copper Kα, from the GGA-PBE geometry in the Materials Project.
Intensities are scaled so that the largest is 100.

Structure:
```
10
Lattice="0.000 5.870 5.870 5.870 0.000 5.870 5.870 5.870 0.000" Properties=species:S:1:pos:R:3 pbc="T T T"
K 2.935 2.935 2.935
K 8.804 8.804 8.804
Cu 0.000 0.000 0.000
Sb 5.870 5.870 5.870
I 5.870 5.870 2.836
I 5.870 2.836 5.870
I 8.903 5.870 5.870
I 2.836 5.870 5.870
I 5.870 8.903 5.870
I 5.870 5.870 8.903
```

Main lines, low angle first (2θ from 15° to 90°):
| d (Å) | Position (°2θ) | I (rel.) |
| --- | --- | --- |
| 5.870 | 15.1 | 67 |
| 3.389 | 26.3 | 77 |
| 2.935 | 30.5 | 100 |
| 2.625 | 34.2 | 36 |
| 2.075 | 43.6 | 72 |
| 1.770 | 51.6 | 33 |
| 1.694 | 54.1 | 25 |
| 1.312 | 71.9 | 31 |